Starting from a DFT-relaxed cell (PBE, OQMD), the X-ray powder pattern of NpCu2Si2 was calculated for copper Kα.
No peak broadening, texture or thermal motion is included.

The 12 most intense peaks (10 to 90 degrees two-theta), in order of rising 2θ:
index	d (Å)	Rel. int.
0 0 2	4.859	34
1 0 1	3.716	100
1 1 0	2.844	55
0 1 3	2.524	95
1 0 3	2.518	33
1 1 -2	2.458	80
1 1 2	2.451	75
0 2 0	2.011	69
2 1 1	1.768	28
0 1 5	1.749	35
2 1 -3	1.574	30
1 2 3	1.570	31

Structural model:
a = 4.0237 Å, b = 4.0199 Å, c = 9.7171 Å
α = 90.00°, β = 90.25°, γ = 90.00°
Element x y z (fractional)
Np 0.2478 0.2500 0.2493
Np 0.7522 0.7500 0.7507
Cu 0.2515 0.7500 0.5000
Cu 0.2607 0.2500 0.8729
Cu 0.7393 0.7500 0.1271
Cu 0.7485 0.2500 0.5000
Si 0.2386 0.7500 0.0001
Si 0.2500 0.2500 0.6352
Si 0.7500 0.7500 0.3648
Si 0.7614 0.2500 0.9999